# 1
# PmTeIO4
Computed powder X-ray diffraction pattern, CuKα. Input: a crystal structure in Alexandria, relaxed with GGA-PBE.

Principal peaks in the range 10° ≤ 2θ ≤ 90°, in order of falling intensity:
two_theta	I (rel.)	(hkl)
24.34	100.0	0 2 0
26.91	91.1	3 1 0
32.87	55.6	3 1 -2
26.10	37.6	0 0 2
23.11	32.1	2 0 1
35.98	30.0	0 2 2
44.45	29.3	3 3 -1
12.96	25.7	0 0 1
48.53	21.3	3 3 -2
47.77	17.7	5 1 1
31.82	17.7	1 1 2
32.70	16.9	3 1 1

Cell: 11.5854 7.3139 7.0863 Å, 90.00 105.47 90.00°
Space group C2/m (No. 12)
Inequivalent atoms, fractional coordinates:
Pm (0.2473, 0.0000, 0.3631) [4 per cell]
Te (0.1291, 0.0000, 0.7579) [4 per cell]
I (0.0042, 0.5000, 0.2477) [4 per cell]
O (0.0366, 0.0000, 0.3068) [4 per cell]
O (0.1957, 0.0000, 0.0249) [4 per cell]
O (0.1997, 0.1846, 0.6378) [8 per cell]

# 2
# CsPmZrO4
Computed powder X-ray diffraction pattern, CuKα. Input: a crystal structure in Alexandria, relaxed with GGA-PBE.

Principal peaks in the range 10° ≤ 2θ ≤ 90°, in order of falling intensity:
two_theta	I (rel.)	(hkl)
10.69	100.0	0 0 1
25.77	86.1	0 1 2
28.36	81.8	0 2 0
25.89	60.9	1 1 -2
25.52	51.7	1 1 1
33.38	38.1	2 1 0
15.13	35.0	1 0 -1
38.99	34.7	2 1 -3
48.72	25.7	0 3 2
43.07	22.7	2 0 2
33.77	22.4	2 1 -2
41.89	21.8	1 2 2

Cell: 6.3102 6.2899 8.7965 Å, 90.00 109.82 90.00°
Space group P2_1/m (No. 11)
Inequivalent atoms, fractional coordinates:
Cs (0.1214, 0.2500, 0.1425) [2 per cell]
Pm (0.3127, 0.7500, 0.4609) [2 per cell]
Zr (0.2358, 0.2500, 0.6565) [2 per cell]
O (0.0040, 0.2500, 0.4442) [2 per cell]
O (0.0138, 0.2500, 0.7744) [2 per cell]
O (0.4572, 0.0201, 0.6489) [4 per cell]